No. 1
RbLi2IBr2: calculated X-ray diffraction stick pattern (Cu Ka), based on a structure optimized by DFT (PBE).
Intensities are scaled so that the largest is 100.

Atomic structure:
```
RbLi2IBr2
1.0
7.7138 0.0000 0.0000
0.0000 6.2324 0.0000
-2.5880 0.0000 8.8842
Rb Li I Br
2 4 2 4
direct
0.1648 0.2500 0.3679
0.8352 0.7500 0.6321
0.3612 0.0019 0.8179
0.3612 0.4981 0.8179
0.6388 0.5019 0.1821
0.6388 0.9981 0.1821
0.3284 0.7500 0.0619
0.6716 0.2500 0.9381
0.1018 0.2500 0.7276
0.3818 0.7500 0.6171
0.6182 0.2500 0.3829
0.8982 0.7500 0.2724
```

The 8 most intense peaks (10° ≤ 2θ ≤ 90°), in order of rising 2θ:
| 2theta | I (rel.) |
| --- | --- |
| 22.70 | 42 |
| 24.61 | 65 |
| 24.81 | 54 |
| 26.68 | 35 |
| 28.03 | 100 |
| 28.65 | 55 |
| 39.55 | 27 |
| 50.36 | 25 |

No. 2
Li2Tl3I4Br2: calculated X-ray diffraction stick pattern (Cu Ka), based on a structure optimized by DFT (PBE).
Intensities are scaled so that the largest is 100.

Atomic structure:
```
Li2Tl3I4Br2
1.0
-2.7003 2.7003 14.2627
2.7003 -2.7003 14.2627
2.7003 2.7003 -14.2627
Li Tl I Br
2 3 4 2
direct
0.1176 0.1176 0.0000
0.8824 0.8824 0.0000
0.3143 0.3143 0.0000
0.5000 0.5000 0.0000
0.6857 0.6857 0.0000
0.0848 0.5848 0.5000
0.4152 0.9152 0.5000
0.5848 0.0848 0.5000
0.9152 0.4152 0.5000
0.2041 0.2041 0.0000
0.7959 0.7959 0.0000
```

The 8 most intense peaks (10° ≤ 2θ ≤ 90°), in order of rising 2θ:
| 2theta | I (rel.) |
| --- | --- |
| 16.71 | 34 |
| 22.67 | 30 |
| 24.13 | 35 |
| 26.48 | 33 |
| 30.01 | 100 |
| 33.18 | 59 |
| 46.30 | 23 |
| 57.32 | 32 |